(1)
# Na4MgNi4O10
Calculated powder X-ray diffraction pattern, CuKα. Input: the GGA+U geometry in the Materials Project.
Intensities are scaled so that the largest is 100.

a b c (Å): 5.371 5.808 7.631
angles (deg): 95.92 106.25 102.11
Space group P1 (No. 1)
Asymmetric unit:
Na: 0.000 0.000 0.000 (multiplicity 1)
Na: 0.049 0.523 0.261 (multiplicity 1)
Na: 0.577 0.970 0.175 (multiplicity 1)
Na: 0.693 0.922 0.567 (multiplicity 1)
Mg: 0.283 0.659 0.776 (multiplicity 1)
Ni: 0.191 0.264 0.570 (multiplicity 1)
Ni: 0.465 0.452 0.069 (multiplicity 1)
Ni: 0.623 0.433 0.467 (multiplicity 1)
Ni: 0.833 0.449 0.854 (multiplicity 1)
O: 0.135 0.275 0.809 (multiplicity 1)
O: 0.191 0.653 0.026 (multiplicity 1)
O: 0.353 0.258 0.240 (multiplicity 1)
O: 0.360 0.577 0.533 (multiplicity 1)
O: 0.542 0.235 0.641 (multiplicity 1)
O: 0.638 0.665 0.943 (multiplicity 1)
O: 0.687 0.642 0.308 (multiplicity 1)
O: 0.715 0.268 0.019 (multiplicity 1)
O: 0.850 0.240 0.427 (multiplicity 1)
O: 0.895 0.637 0.675 (multiplicity 1)

Main lines, by angle (10° ≤ 2θ ≤ 80°):
Position (°2θ)  I/Imax
15.85  100
24.66  13
32.55  10
34.17  14
34.54  12
34.74  12
34.90  16
38.79  19
42.24  29
47.58  17

(2)
# TlMo3O9
Calculated powder X-ray diffraction pattern, CuKα. Input: the GGA+U geometry in the Materials Project.
Intensities are scaled so that the largest is 100.

a b c (Å): 15.412 7.851 6.579
angles (deg): 90.00 92.78 90.00
Space group C2/m (No. 12)
Asymmetric unit:
Tl: 0.198 0.000 0.323 (multiplicity 4)
Mo: 0.056 0.240 0.768 (multiplicity 8)
Mo: 0.117 0.500 0.138 (multiplicity 4)
O: 0.000 0.248 0.500 (multiplicity 4)
O: 0.035 0.500 0.807 (multiplicity 4)
O: 0.037 0.000 0.796 (multiplicity 4)
O: 0.079 0.264 0.087 (multiplicity 8)
O: 0.148 0.500 0.394 (multiplicity 4)
O: 0.163 0.240 0.711 (multiplicity 8)
O: 0.215 0.500 0.016 (multiplicity 4)

Main lines, by angle (10° ≤ 2θ ≤ 80°):
Position (°2θ)  I/Imax
18.73  59
25.23  80
25.47  91
26.26  77
27.14  45
28.65  100
29.19  48
29.79  41
31.21  42
43.52  37

(3)
# Li2CrC2O6
Calculated powder X-ray diffraction pattern, CuKα. Input: the GGA+U geometry in the Materials Project.
Intensities are scaled so that the largest is 100.

a b c (Å): 11.851 16.637 5.312
angles (deg): 90.00 90.00 90.00
Space group Fdd2 (No. 43)
Asymmetric unit:
Li: 0.024 0.333 0.000 (multiplicity 16)
Cr: 0.000 0.000 0.981 (multiplicity 8)
C: 0.047 0.148 0.037 (multiplicity 16)
O: 0.028 0.096 0.219 (multiplicity 16)
O: 0.049 0.117 0.809 (multiplicity 16)
O: 0.065 0.222 0.087 (multiplicity 16)

Main lines, by angle (10° ≤ 2θ ≤ 80°):
Position (°2θ)  I/Imax
18.38  16
19.07  100
28.67  31
30.16  22
32.07  20
32.64  11
43.20  19
47.28  9
47.40  11
57.23  12

(4)
# Mn13Cu11O32
Calculated powder X-ray diffraction pattern, CuKα. Input: the GGA+U geometry in the Materials Project.
Intensities are scaled so that the largest is 100.

a b c (Å): 10.514 5.918 19.682
angles (deg): 90.00 97.43 90.00
Space group C2/m (No. 12)
Asymmetric unit:
Mn: 0.000 0.000 0.000 (multiplicity 2)
Mn: 0.124 0.250 0.124 (multiplicity 8)
Mn: 0.124 0.250 0.624 (multiplicity 8)
Mn: 0.125 0.500 0.376 (multiplicity 4)
Mn: 0.249 0.000 0.751 (multiplicity 4)
Cu: 0.000 0.500 0.500 (multiplicity 2)
Cu: 0.097 0.000 0.281 (multiplicity 4)
Cu: 0.101 0.500 0.783 (multiplicity 4)
Cu: 0.125 0.000 0.876 (multiplicity 4)
Cu: 0.151 0.000 0.466 (multiplicity 4)
Cu: 0.151 0.500 0.967 (multiplicity 4)
O: 0.045 0.230 0.934 (multiplicity 8)
O: 0.048 0.270 0.431 (multiplicity 8)
O: 0.065 0.000 0.180 (multiplicity 4)
O: 0.067 0.500 0.681 (multiplicity 4)
O: 0.068 0.500 0.181 (multiplicity 4)
O: 0.070 0.000 0.682 (multiplicity 4)
O: 0.180 0.000 0.067 (multiplicity 4)
O: 0.181 0.500 0.568 (multiplicity 4)
O: 0.182 0.000 0.568 (multiplicity 4)
O: 0.185 0.500 0.069 (multiplicity 4)
O: 0.203 0.274 0.317 (multiplicity 8)
O: 0.206 0.229 0.817 (multiplicity 8)

Main lines, by angle (10° ≤ 2θ ≤ 80°):
Position (°2θ)  I/Imax
29.62  67
34.34  100
35.49  87
35.65  96
43.42  26
54.79  31
57.25  29
57.43  26
61.43  41
61.56  41

(5)
# Li4Co3O7
Calculated powder X-ray diffraction pattern, CuKα. Input: the GGA+U geometry in the Materials Project.
Intensities are scaled so that the largest is 100.

a b c (Å): 5.056 5.881 8.706
angles (deg): 91.05 95.09 107.25
Space group P1 (No. 1)
Asymmetric unit:
Li: 0.000 0.000 0.000 (multiplicity 1)
Li: 0.003 0.502 0.002 (multiplicity 1)
Li: 0.150 0.291 0.278 (multiplicity 1)
Li: 0.285 0.571 0.573 (multiplicity 1)
Li: 0.430 0.853 0.864 (multiplicity 1)
Li: 0.579 0.152 0.142 (multiplicity 1)
Li: 0.718 0.431 0.430 (multiplicity 1)
Li: 0.863 0.713 0.724 (multiplicity 1)
Co: 0.143 0.781 0.281 (multiplicity 1)
Co: 0.287 0.069 0.573 (multiplicity 1)
Co: 0.441 0.364 0.862 (multiplicity 1)
Co: 0.573 0.641 0.140 (multiplicity 1)
Co: 0.717 0.929 0.430 (multiplicity 1)
Co: 0.863 0.220 0.722 (multiplicity 1)
O: 0.012 0.762 0.498 (multiplicity 1)
O: 0.131 0.502 0.782 (multiplicity 1)
O: 0.134 0.055 0.780 (multiplicity 1)
O: 0.316 0.812 0.087 (multiplicity 1)
O: 0.324 0.349 0.066 (multiplicity 1)
O: 0.422 0.100 0.366 (multiplicity 1)
O: 0.443 0.623 0.349 (multiplicity 1)
O: 0.581 0.377 0.660 (multiplicity 1)
O: 0.590 0.920 0.643 (multiplicity 1)
O: 0.695 0.669 0.942 (multiplicity 1)
O: 0.716 0.186 0.909 (multiplicity 1)
O: 0.846 0.490 0.216 (multiplicity 1)
O: 0.848 0.945 0.216 (multiplicity 1)
O: 0.989 0.234 0.515 (multiplicity 1)

Main lines, by angle (10° ≤ 2θ ≤ 80°):
Position (°2θ)  I/Imax
18.44  100
35.99  13
36.40  25
37.89  11
43.44  27
44.10  51
47.89  8
63.29  14
63.74  7
63.96  14

(6)
# Li3FeF6
Calculated powder X-ray diffraction pattern, CuKα. Input: the GGA+U geometry in the Materials Project.
Intensities are scaled so that the largest is 100.

a b c (Å): 8.6355 8.6355 10.2351
angles (deg): 90.00 90.00 120.00
Space group R-3 (No. 148, hexagonal axes)
Asymmetric unit:
Li: 0.0392 0.2655 0.2123 (multiplicity 18)
Fe: 0.0000 0.0000 0.0000 (multiplicity 3)
Fe: 0.0000 0.0000 0.5000 (multiplicity 3)
F: 0.0198 0.1868 0.8816 (multiplicity 18)
F: 0.0251 0.2013 0.3963 (multiplicity 18)

Main lines, by angle (10° ≤ 2θ ≤ 80°):
Position (°2θ)  I/Imax
20.57  92
21.04  100
29.59  60
36.31  70
47.29  43
47.96  59
56.38  34
57.17  17
58.15  13
70.34  15

(7)
# CrCu3P4O16
Calculated powder X-ray diffraction pattern, CuKα. Input: the GGA+U geometry in the Materials Project.
Intensities are scaled so that the largest is 100.

a b c (Å): 4.855 5.900 9.815
angles (deg): 90.00 91.71 90.00
Space group Pm (No. 6)
Asymmetric unit:
Cr: 0.000 0.000 0.000 (multiplicity 1)
Cu: 0.098 0.500 0.562 (multiplicity 1)
Cu: 0.432 0.500 0.070 (multiplicity 1)
Cu: 0.610 0.000 0.497 (multiplicity 1)
P: 0.135 0.000 0.681 (multiplicity 1)
P: 0.451 0.000 0.183 (multiplicity 1)
P: 0.613 0.500 0.379 (multiplicity 1)
P: 0.958 0.500 0.875 (multiplicity 1)
O: 0.206 0.000 0.834 (multiplicity 1)
O: 0.278 0.500 0.895 (multiplicity 1)
O: 0.279 0.204 0.608 (multiplicity 2)
O: 0.285 0.198 0.107 (multiplicity 2)
O: 0.300 0.500 0.396 (multiplicity 1)
O: 0.385 0.000 0.335 (multiplicity 1)
O: 0.666 0.500 0.224 (multiplicity 1)
O: 0.757 0.000 0.158 (multiplicity 1)
O: 0.773 0.298 0.450 (multiplicity 2)
O: 0.817 0.000 0.663 (multiplicity 1)
O: 0.827 0.290 0.946 (multiplicity 2)
O: 0.885 0.500 0.721 (multiplicity 1)

Main lines, by angle (10° ≤ 2θ ≤ 80°):
Position (°2θ)  I/Imax
18.08  78
20.17  72
20.66  34
25.24  40
25.64  52
30.31  100
36.03  35
36.67  26
36.90  59
63.03  27